The following is a theoretical XRD peak list of NaTa4O5F. It was derived from a cell relaxed with GGA-PBE, using Cu Kα X-rays.
No peak broadening, texture or thermal motion is included.

Largest 10 diffraction maxima, sorted by position, 2θ = 5–70°:
(hkl), Position (°2θ), I_rel
0 0 1, 10.8, 1000
1 0 0, 21.4, 413
1 0 2, 30.7, 429
1 1 1, 32.4, 338
1 1 2, 37.7, 602
2 0 0, 43.6, 407
0 0 4, 44.2, 189
1 1 3, 45.4, 221
2 1 2, 54.2, 174
2 0 4, 63.9, 246

```
11
Lattice="4.152 0.000 0.000 0.000 4.152 0.000 0.000 0.000 8.188" Properties=species:S:1:pos:R:3 pbc="T T T"
Na 0.000 0.000 0.000
Ta 0.000 2.076 4.094
Ta 2.076 0.000 4.094
Ta 2.076 2.076 2.125
Ta 2.076 2.076 6.063
O 0.000 0.000 4.094
O 0.000 2.076 1.957
O 0.000 2.076 6.231
O 2.076 0.000 1.957
O 2.076 0.000 6.231
F 2.076 2.076 0.000
```